[1]
For Rb2TcBr6, the PBE geometry in OQMD gives the computed X-ray diffraction stick pattern in this record (Cu Kα (λ = 1.5418 Å)).

Top 10 peaks for 2θ from 15° to 90°, in order of rising 2θ:
| d_spacing | I_rel |
| --- | --- |
| 3.200 | 107 |
| 3.076 | 1000 |
| 2.695 | 329 |
| 2.649 | 600 |
| 1.889 | 419 |
| 1.873 | 196 |
| 1.620 | 160 |
| 1.600 | 227 |
| 1.538 | 199 |
| 1.225 | 87 |

a = 7.5585 Å, b = 7.5585 Å, c = 7.5585 Å
α = 120.58°, β = 120.58°, γ = 89.00°
Fractional coordinates of all 9 atoms:
Rb: 0.2500 0.7500 0.5000
Rb: 0.7500 0.2500 0.5000
Tc: 0.0000 0.0000 0.0000
Br: 0.2187 0.7424 0.9610
Br: 0.2354 0.2354 0.0000
Br: 0.2576 0.2187 0.4763
Br: 0.7424 0.7813 0.5237
Br: 0.7647 0.7647 0.0000
Br: 0.7813 0.2576 0.0390

***

[2]
For Rb2Nb2P2S11, the PBE geometry in OQMD gives the computed X-ray diffraction stick pattern in this record (Cu Kα (λ = 1.5418 Å)).

Top 10 peaks for 2θ from 15° to 90°, in order of rising 2θ:
| d_spacing | I_rel |
| --- | --- |
| 4.643 | 600 |
| 4.599 | 576 |
| 3.559 | 604 |
| 3.316 | 995 |
| 3.069 | 526 |
| 2.960 | 671 |
| 2.725 | 1000 |
| 2.555 | 394 |
| 2.322 | 389 |
| 2.312 | 996 |

a = 6.8852 Å, b = 7.1097 Å, c = 18.6152 Å
α = 90.00°, β = 98.79°, γ = 90.00°
Fractional coordinates of all 34 atoms:
Rb: 0.2261 0.2500 0.0077
Rb: 0.2530 0.2500 0.4958
Rb: 0.7470 0.7500 0.5042
Rb: 0.7739 0.7500 0.9923
Nb: 0.3024 0.0491 0.7443
Nb: 0.3024 0.4509 0.7443
Nb: 0.6976 0.5491 0.2557
Nb: 0.6976 0.9509 0.2557
P: 0.2053 0.7500 0.8746
P: 0.3138 0.7500 0.6062
P: 0.6862 0.2500 0.3938
P: 0.7947 0.2500 0.1254
S: 0.0520 0.5157 0.8338
S: 0.0520 0.9843 0.8338
S: 0.0549 0.2500 0.6854
S: 0.1014 0.7500 0.6739
S: 0.2287 0.7500 0.4991
S: 0.2661 0.7500 0.9836
S: 0.3896 0.7500 0.2312
S: 0.4420 0.2500 0.8478
S: 0.4598 0.7500 0.8243
S: 0.4878 0.5214 0.6418
S: 0.4878 0.9786 0.6418
S: 0.5122 0.0214 0.3582
S: 0.5122 0.4786 0.3582
S: 0.5402 0.2500 0.1757
S: 0.5580 0.7500 0.1522
S: 0.6104 0.2500 0.7688
S: 0.7339 0.2500 0.0164
S: 0.7713 0.2500 0.5009
S: 0.8986 0.2500 0.3261
S: 0.9451 0.7500 0.3146
S: 0.9480 0.0157 0.1662
S: 0.9480 0.4843 0.1662

***

[3]
For KTmAgTe3, the PBE geometry in OQMD gives the computed X-ray diffraction stick pattern in this record (Cu Kα (λ = 1.5418 Å)).

Top 10 peaks for 2θ from 15° to 90°, in order of rising 2θ:
| d_spacing | I_rel |
| --- | --- |
| 3.424 | 260 |
| 3.349 | 344 |
| 3.211 | 617 |
| 2.881 | 1000 |
| 2.828 | 420 |
| 2.455 | 235 |
| 2.355 | 581 |
| 2.135 | 224 |
| 2.122 | 295 |
| 1.875 | 248 |

a = 8.4444 Å, b = 8.4444 Å, c = 11.3114 Å
α = 90.00°, β = 90.00°, γ = 150.89°
Fractional coordinates of all 12 atoms:
K: 0.2418 0.7582 0.7500
K: 0.7582 0.2418 0.2500
Tm: 0.0000 0.0000 0.0000
Tm: 0.0000 0.0000 0.5000
Ag: 0.4636 0.5364 0.2500
Ag: 0.5364 0.4636 0.7500
Te: 0.0779 0.9221 0.2500
Te: 0.3689 0.6311 0.0457
Te: 0.3689 0.6311 0.4543
Te: 0.6311 0.3689 0.5457
Te: 0.6311 0.3689 0.9543
Te: 0.9221 0.0779 0.7500

***

[4]
For BaNb, the PBE geometry in OQMD gives the computed X-ray diffraction stick pattern in this record (Cu Kα (λ = 1.5418 Å)).

Top 10 peaks for 2θ from 15° to 90°, in order of rising 2θ:
| d_spacing | I_rel |
| --- | --- |
| 2.972 | 329 |
| 2.854 | 237 |
| 2.573 | 1000 |
| 2.059 | 183 |
| 1.648 | 168 |
| 1.628 | 243 |
| 1.441 | 214 |
| 1.388 | 143 |
| 1.158 | 80 |
| 1.104 | 93 |

a = 3.2954 Å, b = 3.2954 Å, c = 5.9446 Å
α = 90.00°, β = 90.00°, γ = 120.00°
Fractional coordinates of all 2 atoms:
Ba: 0.0000 0.0000 0.0000
Nb: 0.6667 0.3333 0.5000

***

[5]
For HoTmTeC, the PBE geometry in OQMD gives the computed X-ray diffraction stick pattern in this record (Cu Kα (λ = 1.5418 Å)).

Top 10 peaks for 2θ from 15° to 90°, in order of rising 2θ:
| d_spacing | I_rel |
| --- | --- |
| 3.286 | 264 |
| 2.679 | 1000 |
| 2.314 | 131 |
| 1.897 | 259 |
| 1.892 | 122 |
| 1.548 | 190 |
| 1.467 | 189 |
| 1.396 | 110 |
| 1.199 | 164 |
| 1.095 | 88 |

a = 3.7938 Å, b = 3.7938 Å, c = 13.8847 Å
α = 90.00°, β = 90.00°, γ = 120.00°
Fractional coordinates of all 8 atoms:
Ho: 0.3333 0.6667 0.4063
Ho: 0.6667 0.3333 0.5937
Tm: 0.3333 0.6667 0.0917
Tm: 0.6667 0.3333 0.9083
Te: 0.3333 0.6667 0.7523
Te: 0.6667 0.3333 0.2477
C: 0.0000 0.0000 0.0000
C: 0.0000 0.0000 0.5000

***

[6]
For Pu5Ir4, the PBE geometry in OQMD gives the computed X-ray diffraction stick pattern in this record (Cu Kα (λ = 1.5418 Å)).

Top 10 peaks for 2θ from 15° to 90°, in order of rising 2θ:
| d_spacing | I_rel |
| --- | --- |
| 2.734 | 1000 |
| 2.696 | 813 |
| 2.598 | 643 |
| 2.555 | 399 |
| 2.529 | 280 |
| 2.445 | 347 |
| 2.416 | 656 |
| 2.324 | 471 |
| 2.290 | 592 |
| 2.259 | 233 |

a = 7.2183 Å, b = 14.4792 Å, c = 7.4705 Å
α = 90.00°, β = 90.00°, γ = 90.00°
Fractional coordinates of all 36 atoms:
Pu: 0.0016 0.0929 0.1786
Pu: 0.0016 0.4071 0.1786
Pu: 0.1445 0.6206 0.3331
Pu: 0.1445 0.8794 0.3331
Pu: 0.1787 0.2500 0.4953
Pu: 0.3213 0.7500 0.9953
Pu: 0.3555 0.1206 0.8331
Pu: 0.3555 0.3794 0.8331
Pu: 0.4984 0.5929 0.6786
Pu: 0.4984 0.9071 0.6786
Pu: 0.5016 0.0929 0.3214
Pu: 0.5016 0.4071 0.3214
Pu: 0.6445 0.6206 0.1669
Pu: 0.6445 0.8794 0.1669
Pu: 0.6787 0.2500 0.0047
Pu: 0.8213 0.7500 0.5047
Pu: 0.8555 0.1206 0.6669
Pu: 0.8555 0.3794 0.6669
Pu: 0.9984 0.5929 0.8214
Pu: 0.9984 0.9071 0.8214
Ir: 0.0486 0.2500 0.8949
Ir: 0.1869 0.7500 0.6513
Ir: 0.1928 0.0373 0.5371
Ir: 0.1928 0.4627 0.5371
Ir: 0.3072 0.5373 0.0371
Ir: 0.3072 0.9627 0.0371
Ir: 0.3131 0.2500 0.1513
Ir: 0.4514 0.7500 0.3949
Ir: 0.5486 0.2500 0.6051
Ir: 0.6869 0.7500 0.8487
Ir: 0.6928 0.0373 0.9629
Ir: 0.6928 0.4627 0.9629
Ir: 0.8072 0.5373 0.4629
Ir: 0.8072 0.9627 0.4629
Ir: 0.8131 0.2500 0.3487
Ir: 0.9514 0.7500 0.1051

***

[7]
For AlGaHgTeS3, the PBE geometry in OQMD gives the computed X-ray diffraction stick pattern in this record (Cu Kα (λ = 1.5418 Å)).

Top 10 peaks for 2θ from 15° to 90°, in order of rising 2θ:
| d_spacing | I_rel |
| --- | --- |
| 5.354 | 723 |
| 5.278 | 433 |
| 4.988 | 654 |
| 4.026 | 1000 |
| 3.325 | 856 |
| 3.305 | 817 |
| 3.290 | 873 |
| 3.137 | 430 |
| 2.103 | 423 |
| 1.986 | 412 |

a = 5.7381 Å, b = 5.9173 Å, c = 6.5315 Å
α = 113.36°, β = 113.34°, γ = 92.41°
Fractional coordinates of all 7 atoms:
Al: 0.0000 0.0000 0.0000
Ga: 0.2661 0.7868 0.5242
Hg: 0.7611 0.2724 0.5106
Te: 0.3701 0.4160 0.2060
S: 0.1527 0.6886 0.7864
S: 0.6420 0.1137 0.7868
S: 0.9217 0.8921 0.2678

***

[8]
For Te4WCl6, the PBE geometry in OQMD gives the computed X-ray diffraction stick pattern in this record (Cu Kα (λ = 1.5418 Å)).

Top 10 peaks for 2θ from 15° to 90°, in order of rising 2θ:
| d_spacing | I_rel |
| --- | --- |
| 5.792 | 615 |
| 5.358 | 347 |
| 5.289 | 1000 |
| 3.908 | 476 |
| 3.764 | 510 |
| 3.667 | 414 |
| 3.008 | 562 |
| 2.908 | 386 |
| 2.424 | 378 |
| 1.869 | 425 |

a = 12.1740 Å, b = 12.1740 Å, c = 12.0458 Å
α = 103.09°, β = 103.09°, γ = 120.65°
Fractional coordinates of all 44 atoms:
Te: 0.0554 0.8805 0.8569
Te: 0.1195 0.9446 0.6431
Te: 0.1397 0.4388 0.5065
Te: 0.1466 0.7200 0.5751
Te: 0.1665 0.3998 0.2767
Te: 0.2800 0.8534 0.9249
Te: 0.3998 0.1665 0.7767
Te: 0.4388 0.1397 0.0065
Te: 0.5612 0.8603 0.9935
Te: 0.6002 0.8335 0.2233
Te: 0.7200 0.1466 0.0751
Te: 0.8335 0.6002 0.7233
Te: 0.8534 0.2800 0.4249
Te: 0.8603 0.5612 0.4935
Te: 0.8805 0.0554 0.3569
Te: 0.9446 0.1195 0.1431
W: 0.1679 0.3976 0.8924
W: 0.3976 0.1679 0.3924
W: 0.6024 0.8321 0.6076
W: 0.8321 0.6024 0.1076
Cl: 0.0422 0.6900 0.0901
Cl: 0.0653 0.2062 0.7051
Cl: 0.1168 0.5151 0.7800
Cl: 0.2062 0.0653 0.2051
Cl: 0.2172 0.2840 0.0060
Cl: 0.2771 0.5959 0.0812
Cl: 0.2840 0.2172 0.5060
Cl: 0.3100 0.9578 0.4099
Cl: 0.3821 0.4990 0.8754
Cl: 0.4041 0.7229 0.4188
Cl: 0.4849 0.8832 0.7200
Cl: 0.4990 0.3821 0.3754
Cl: 0.5010 0.6179 0.6246
Cl: 0.5151 0.1168 0.2800
Cl: 0.5959 0.2771 0.5812
Cl: 0.6179 0.5010 0.1246
Cl: 0.6900 0.0422 0.5901
Cl: 0.7160 0.7828 0.4940
Cl: 0.7229 0.4041 0.9188
Cl: 0.7828 0.7160 0.9940
Cl: 0.7938 0.9347 0.7949
Cl: 0.8832 0.4849 0.2200
Cl: 0.9347 0.7938 0.2949
Cl: 0.9578 0.3100 0.9099

***

[9]
For TmLuRe2Si2C, the PBE geometry in OQMD gives the computed X-ray diffraction stick pattern in this record (Cu Kα (λ = 1.5418 Å)).

Top 10 peaks for 2θ from 15° to 90°, in order of rising 2θ:
| d_spacing | I_rel |
| --- | --- |
| 5.430 | 230 |
| 3.422 | 238 |
| 2.678 | 444 |
| 2.665 | 965 |
| 2.492 | 1000 |
| 2.327 | 214 |
| 2.185 | 288 |
| 1.981 | 292 |
| 1.593 | 191 |
| 1.582 | 217 |

a = 10.8535 Å, b = 3.9619 Å, c = 6.8308 Å
α = 90.00°, β = 127.36°, γ = 90.00°
Fractional coordinates of all 14 atoms:
Tm: 0.0000 0.0000 0.0000
Tm: 0.5000 0.5000 0.0000
Lu: 0.1446 0.0000 0.5968
Lu: 0.6446 0.5000 0.5968
Re: 0.2808 0.5000 0.3936
Re: 0.3640 0.0000 0.2036
Re: 0.7808 0.0000 0.3936
Re: 0.8640 0.5000 0.2036
Si: 0.2126 0.5000 0.9757
Si: 0.4320 0.0000 0.6210
Si: 0.7126 0.0000 0.9757
Si: 0.9320 0.5000 0.6210
C: 0.0725 0.5000 0.2989
C: 0.5725 0.0000 0.2989

***

[10]
For K2In4Cu4S9, the PBE geometry in OQMD gives the computed X-ray diffraction stick pattern in this record (Cu Kα (λ = 1.5418 Å)).

Top 10 peaks for 2θ from 15° to 90°, in order of rising 2θ:
| d_spacing | I_rel |
| --- | --- |
| 3.399 | 561 |
| 3.221 | 456 |
| 3.127 | 560 |
| 3.014 | 494 |
| 2.956 | 458 |
| 2.911 | 426 |
| 2.770 | 547 |
| 2.733 | 881 |
| 2.237 | 398 |
| 1.942 | 1000 |

a = 7.1145 Å, b = 7.1145 Å, c = 15.8861 Å
α = 107.73°, β = 107.73°, γ = 31.65°
Fractional coordinates of all 19 atoms:
K: 0.0311 0.0311 0.2758
K: 0.9689 0.9689 0.7242
In: 0.2348 0.2348 0.1038
In: 0.3485 0.3485 0.4528
In: 0.6515 0.6515 0.5472
In: 0.7652 0.7652 0.8962
Cu: 0.2442 0.2442 0.7314
Cu: 0.4515 0.4515 0.0577
Cu: 0.5485 0.5485 0.9423
Cu: 0.7558 0.7558 0.2686
S: 0.0000 0.0000 0.5000
S: 0.1380 0.1380 0.9320
S: 0.2904 0.2904 0.6004
S: 0.3481 0.3481 0.2763
S: 0.3807 0.3807 0.8715
S: 0.6193 0.6193 0.1285
S: 0.6519 0.6519 0.7237
S: 0.7096 0.7096 0.3996
S: 0.8620 0.8620 0.0680

***

[11]
For Sr4TlCd, the PBE geometry in OQMD gives the computed X-ray diffraction stick pattern in this record (Cu Kα (λ = 1.5418 Å)).

Top 10 peaks for 2θ from 15° to 90°, in order of rising 2θ:
| d_spacing | I_rel |
| --- | --- |
| 3.113 | 1000 |
| 2.901 | 490 |
| 2.689 | 121 |
| 2.350 | 251 |
| 2.051 | 183 |
| 1.844 | 130 |
| 1.713 | 347 |
| 1.545 | 135 |
| 1.525 | 114 |
| 1.107 | 87 |

a = 4.1028 Å, b = 4.1028 Å, c = 14.3356 Å
α = 90.00°, β = 90.00°, γ = 90.00°
Fractional coordinates of all 6 atoms:
Sr: 0.0000 0.0000 0.1360
Sr: 0.0000 0.0000 0.8640
Sr: 0.5000 0.5000 0.3617
Sr: 0.5000 0.5000 0.6383
Tl: 0.0000 0.0000 0.5000
Cd: 0.5000 0.5000 0.0000

***

[12]
For GdYCo2Si4, the PBE geometry in OQMD gives the computed X-ray diffraction stick pattern in this record (Cu Kα (λ = 1.5418 Å)).

Top 10 peaks for 2θ from 15° to 90°, in order of rising 2θ:
| d_spacing | I_rel |
| --- | --- |
| 4.065 | 271 |
| 2.844 | 287 |
| 2.795 | 845 |
| 2.535 | 749 |
| 2.514 | 1000 |
| 2.240 | 417 |
| 2.024 | 362 |
| 1.990 | 343 |
| 1.649 | 337 |
| 1.565 | 328 |

a = 3.9799 Å, b = 4.0471 Å, c = 16.2589 Å
α = 90.00°, β = 90.00°, γ = 90.00°
Fractional coordinates of all 16 atoms:
Gd: 0.0000 0.0000 0.0000
Gd: 0.0000 0.5000 0.5000
Y: 0.5000 0.0000 0.2153
Y: 0.5000 0.5000 0.7153
Co: 0.0000 0.0000 0.7872
Co: 0.0000 0.5000 0.2872
Co: 0.5000 0.0000 0.4279
Co: 0.5000 0.5000 0.9279
Si: 0.0000 0.0000 0.3570
Si: 0.0000 0.0000 0.6509
Si: 0.0000 0.5000 0.1509
Si: 0.0000 0.5000 0.8570
Si: 0.5000 0.0000 0.5648
Si: 0.5000 0.0000 0.8576
Si: 0.5000 0.5000 0.0648
Si: 0.5000 0.5000 0.3576